# TbLuNO
Computed X-ray powder pattern, λ = 1.5418 Å (Cu Kα). Input: a structure optimized by DFT (PBE).
Lines closer than 0.1° are merged.

Most intense lines, 2θ from 10° to 90°, by angle:
32.43°, rel. 100, (1 1 1); 37.45°, rel. 49, (2 0 0); 37.96°, rel. 24, (0 0 2); 54.00°, rel. 17, (2 2 0); 54.39°, rel. 33, (2 0 2); 64.42°, rel. 30, (3 1 1)

Structure:
abc: 4.8030 4.8030 4.7402
angles: 90.00 90.00 90.00
Space group P4/nmm (No. 129, origin choice 2)
One atom of each set of equivalent atoms:
Tb 0.2500 0.7500 0.0000 (multiplicity 2)
Lu 0.2500 0.2500 0.4996 (multiplicity 2)
N 0.2500 0.2500 0.0013 (multiplicity 2)
O 0.2500 0.7500 0.5000 (multiplicity 2)